This entry pairs a crystal structure of Zr6AlSn3 with its calculated X-ray diffraction stick pattern. Radiation: Cu Kα X-rays. Structure: a cell relaxed with PBE.

Most intense lines, 10 to 90 degrees two-theta, in order of falling intensity:
2θ (°), intensity
34.1, 100.0
38.4, 58.3
35.8, 34.1
34.2, 28.9
28.9, 21.5
33.3, 21.3

Structural model:
```
Zr6AlSn3
1.0
7.399 0.000 0.000
0.000 7.416 0.000
-7.354 0.000 8.650
Zr Al Sn
12 2 6
direct
0.025 0.093 0.256
0.025 0.407 0.756
0.203 0.164 0.056
0.203 0.336 0.556
0.404 0.649 0.053
0.404 0.851 0.553
0.596 0.149 0.447
0.596 0.351 0.947
0.797 0.664 0.444
0.797 0.836 0.944
0.975 0.593 0.244
0.975 0.907 0.744
0.000 0.000 0.500
0.000 0.500 0.000
0.308 0.670 0.743
0.308 0.830 0.243
0.500 0.000 0.000
0.500 0.500 0.500
0.692 0.170 0.757
0.692 0.330 0.257
```

=====

This entry pairs a crystal structure of SrAl3 with its calculated X-ray diffraction stick pattern. Radiation: Cu Kα X-rays. Structure: a cell relaxed with PBE.

Most intense lines, 10 to 90 degrees two-theta, in order of falling intensity:
2θ (°), intensity
35.0, 100.0
28.4, 70.5
37.5, 30.0
27.9, 28.9
30.9, 25.6
42.3, 22.7

Structural model:
```
SrAl3
1.0
5.795 0.000 0.000
0.000 4.269 0.000
0.000 0.000 7.681
Sr Al
2 6
direct
0.250 0.000 0.175
0.750 0.000 0.825
0.000 0.500 0.500
0.250 0.000 0.608
0.250 0.500 0.824
0.500 0.500 0.500
0.750 0.000 0.392
0.750 0.500 0.176
```

=====

This entry pairs a crystal structure of SrAl12 with its calculated X-ray diffraction stick pattern. Radiation: Cu Kα X-rays. Structure: a cell relaxed with PBE.

Most intense lines, 10 to 90 degrees two-theta, in order of falling intensity:
2θ (°), intensity
38.3, 100.0
38.1, 47.1
26.8, 35.5
33.0, 31.7
62.2, 15.2
69.3, 13.9

Structural model:
```
SrAl12
1.0
-4.694 4.694 2.733
4.694 -4.694 2.733
4.694 4.694 -2.733
Sr Al
1 12
direct
0.000 0.000 0.000
0.000 0.000 0.500
0.000 0.358 0.358
0.000 0.500 0.000
0.000 0.642 0.642
0.275 0.500 0.775
0.358 0.000 0.358
0.500 0.000 0.000
0.500 0.275 0.775
0.500 0.500 0.500
0.500 0.725 0.225
0.642 0.000 0.642
0.725 0.500 0.225
```

=====

This entry pairs a crystal structure of Sr5Al with its calculated X-ray diffraction stick pattern. Radiation: Cu Kα X-rays. Structure: a cell relaxed with PBE.

Most intense lines, 10 to 90 degrees two-theta, in order of falling intensity:
2θ (°), intensity
29.1, 100.0
25.3, 24.7
28.4, 24.4
53.8, 21.7
50.8, 20.8
44.7, 18.9

Structural model:
```
Sr5Al
1.0
7.029 0.000 0.000
-3.514 6.087 0.000
0.000 0.000 6.281
Sr Al
5 1
direct
0.000 0.694 0.000
0.306 0.306 0.000
0.333 0.667 0.500
0.667 0.333 0.500
0.694 0.000 0.000
0.000 0.000 0.500
```